# NaCoAgTeS2
Theoretical XRD peak list, λ = 1.5418 Å (Cu Kα). Input: DFT lattice parameters and positions (GGA-PBE).
No peak broadening, texture or thermal motion is included.

Structure:
Unit cell a=7.8083 b=7.8083 c=10.0884 alpha=90.00 beta=90.00 gamma=155.00
Atoms (fractional coordinates):
Na 0.2312 0.7688 0.7500
Na 0.7688 0.2312 0.2500
Co 0.5000 0.5000 0.0000
Co 0.5000 0.5000 0.5000
Ag 0.1072 0.8928 0.2500
Ag 0.8928 0.1072 0.7500
Te 0.4413 0.5587 0.2500
Te 0.5587 0.4413 0.7500
S 0.1010 0.8990 0.0136
S 0.1010 0.8990 0.4864
S 0.8990 0.1010 0.5136
S 0.8990 0.1010 0.9864

Most intense lines, 10 to 80 degrees two-theta, sorted by position:
- d = 7.623 Å, rel. 100
- d = 5.044 Å, rel. 20
- d = 2.814 Å, rel. 23
- d = 2.711 Å, rel. 61
- d = 2.522 Å, rel. 34
- d = 2.464 Å, rel. 18
- d = 2.267 Å, rel. 21
- d = 2.158 Å, rel. 26